Entry 1:
Structure and simulated X-ray powder pattern of Tb (a cell relaxed with GGA-PBE; Cu Kα X-rays).
Neutral-atom scattering factors, no anomalous dispersion.

Most intense lines, 10° ≤ 2θ ≤ 90°, by angle:
Position (°2θ)  intensity  index
30.8  100.0  1 1 1
35.8  50.6  2 0 0
51.5  36.0  2 2 0
61.2  42.7  3 1 1
64.3  12.3  2 2 2
75.8  5.7  4 0 0
84.0  17.8  3 3 1
86.7  16.6  4 2 0

Atomic structure:
```
data_Tb
_chemical_formula_sum 'Tb4'
_cell_length_a 5.0205
_cell_length_b 5.0205
_cell_length_c 5.0205
_cell_angle_alpha 90.00
_cell_angle_beta 90.00
_cell_angle_gamma 90.00
_space_group_name_H-M_alt 'F m -3 m'
_space_group_IT_number 225
_space_group_name_Hall '-F 4 2 3'
loop_
_atom_site_label
_atom_site_fract_x
_atom_site_fract_y
_atom_site_fract_z
_atom_site_occupancy
Tb1 0.0000 0.0000 0.0000 1
```

***

Entry 2:
Structure and simulated X-ray powder pattern of Tb (a cell relaxed with GGA-PBE; Cu Kα X-rays).
Neutral-atom scattering factors, no anomalous dispersion.

Most intense lines, 10° ≤ 2θ ≤ 90°, by angle:
Position (°2θ)  intensity  index
30.8  100.0  1 0 1
31.7  30.9  0 0 3
36.0  66.1  0 1 2
51.2  24.3  1 1 0
52.4  22.7  1 0 4
60.9  14.4  0 2 1
61.5  28.0  1 1 3
62.5  13.3  0 1 5
64.1  12.3  2 0 2
83.5  12.0  2 1 1
86.4  16.7  1 2 2
88.3  10.7  1 1 6

Atomic structure:
```
data_Tb
_chemical_formula_sum 'Tb3'
_cell_length_a 3.5694
_cell_length_b 3.5694
_cell_length_c 8.4669
_cell_angle_alpha 90.00
_cell_angle_beta 90.00
_cell_angle_gamma 120.00
_space_group_name_H-M_alt 'R -3 m'
_space_group_IT_number 166
_space_group_name_Hall '-R 3 2"'
loop_
_atom_site_label
_atom_site_fract_x
_atom_site_fract_y
_atom_site_fract_z
_atom_site_occupancy
Tb1 0.0000 0.0000 0.0000 1
```

***

Entry 3:
Structure and simulated X-ray powder pattern of Tb (a cell relaxed with GGA-PBE; Cu Kα X-rays).
Neutral-atom scattering factors, no anomalous dispersion.

Most intense lines, 10° ≤ 2θ ≤ 90°, by angle:
Position (°2θ)  intensity  index
31.0  100.0  2 2 1
32.7  57.6  3 1 0
34.4  26.0  3 1 1
39.0  8.9  3 2 1
44.4  7.5  4 1 1
47.0  7.5  4 2 0
54.0  31.8  4 3 1
57.4  26.6  5 2 0
64.6  9.2  4 4 2
86.4  7.3  5 5 3
88.2  7.5  6 5 0
89.1  7.7  7 3 2

Atomic structure:
```
data_Tb
_chemical_formula_sum 'Tb20'
_cell_length_a 8.6519
_cell_length_b 8.6519
_cell_length_c 8.6519
_cell_angle_alpha 90.00
_cell_angle_beta 90.00
_cell_angle_gamma 90.00
_space_group_name_H-M_alt 'P 41 3 2'
_space_group_IT_number 213
_space_group_name_Hall 'P 4bd 2ab 3'
loop_
_atom_site_label
_atom_site_fract_x
_atom_site_fract_y
_atom_site_fract_z
_atom_site_occupancy
Tb1 0.0442 0.1250 0.7942 1
Tb2 0.0608 0.9392 0.4392 1
```

***

Entry 4:
Structure and simulated X-ray powder pattern of Tb (a cell relaxed with GGA-PBE; Cu Kα X-rays).
Neutral-atom scattering factors, no anomalous dispersion.

Most intense lines, 10° ≤ 2θ ≤ 90°, by angle:
Position (°2θ)  intensity  index
30.0  42.7  1 0 1
31.2  34.2  0 0 4
33.0  100.0  1 0 2
37.5  23.6  1 0 3
49.5  10.7  1 0 5
51.3  25.7  1 1 0
56.7  21.4  1 0 6
61.3  30.1  1 1 4
62.3  16.1  2 0 2
65.2  8.9  0 0 8
84.8  13.8  2 1 2
87.4  15.9  1 1 8

Atomic structure:
```
data_Tb
_chemical_formula_sum 'Tb4'
_cell_length_a 3.5642
_cell_length_b 3.5642
_cell_length_c 11.4581
_cell_angle_alpha 90.00
_cell_angle_beta 90.00
_cell_angle_gamma 120.00
_space_group_name_H-M_alt 'P 63/m m c'
_space_group_IT_number 194
_space_group_name_Hall '-P 6c 2c'
loop_
_atom_site_label
_atom_site_fract_x
_atom_site_fract_y
_atom_site_fract_z
_atom_site_occupancy
Tb1 0.0000 0.0000 0.0000 1
Tb2 0.3333 0.6667 0.2500 1
```

***

Entry 5:
Structure and simulated X-ray powder pattern of Tb8Te (a cell relaxed with GGA-PBE; Cu Kα X-rays).
Neutral-atom scattering factors, no anomalous dispersion.

Most intense lines, 10° ≤ 2θ ≤ 90°, by angle:
Position (°2θ)  intensity  index
29.5  39.5  2 1 0
30.5  100.0  1 1 1
32.5  55.1  2 0 1
33.5  78.8  3 0 0
38.0  29.6  2 1 1
45.9  13.3  2 2 1
48.0  15.9  0 0 2
55.5  37.0  3 2 1
57.4  12.2  2 1 2
59.8  29.9  3 0 2
62.9  12.5  5 0 1
64.7  11.8  5 1 0

Atomic structure:
```
data_Tb8Te
_chemical_formula_sum 'Tb8 Te1'
_cell_length_a 9.2583
_cell_length_b 9.2583
_cell_length_c 3.7886
_cell_angle_alpha 90.00
_cell_angle_beta 90.00
_cell_angle_gamma 120.00
_space_group_name_H-M_alt 'P -6 2 m'
_space_group_IT_number 189
_space_group_name_Hall 'P -6 -2'
loop_
_atom_site_label
_atom_site_fract_x
_atom_site_fract_y
_atom_site_fract_z
_atom_site_occupancy
Tb1 0.0000 0.2726 0.0000 1
Tb2 0.0000 0.6181 0.5000 1
Tb3 0.3333 0.6667 0.0000 1
Te1 0.0000 0.0000 0.5000 1
```

***

Entry 6:
Structure and simulated X-ray powder pattern of Tb2Te3 (a cell relaxed with GGA-PBE; Cu Kα X-rays).
Neutral-atom scattering factors, no anomalous dispersion.

Most intense lines, 10° ≤ 2θ ≤ 90°, by angle:
Position (°2θ)  intensity  index
26.7  55.9  1 1 2
29.7  90.0  4 0 0
30.8  82.8  0 1 3
31.4  78.1  3 1 1
31.7  94.8  1 1 3
34.1  100.0  3 1 2
37.2  48.8  4 1 1
37.7  48.0  1 1 4
39.6  51.2  4 1 2
42.0  82.6  0 2 0
44.4  50.5  3 0 5
62.8  55.9  3 2 5

Atomic structure:
```
data_Tb2Te3
_chemical_formula_sum 'Tb8 Te12'
_cell_length_a 12.0507
_cell_length_b 4.3018
_cell_length_c 11.8294
_cell_angle_alpha 90.00
_cell_angle_beta 90.00
_cell_angle_gamma 90.00
_space_group_name_H-M_alt 'P n m a'
_space_group_IT_number 62
_space_group_name_Hall '-P 2ac 2n'
loop_
_atom_site_label
_atom_site_fract_x
_atom_site_fract_y
_atom_site_fract_z
_atom_site_occupancy
Tb1 0.0181 0.2500 0.1888 1
Tb2 0.1969 0.2500 0.4963 1
Te1 0.0416 0.7500 0.3775 1
Te2 0.1176 0.2500 0.9437 1
Te3 0.2235 0.7500 0.6959 1
```

***

Entry 7:
Structure and simulated X-ray powder pattern of Tb5Tl3 (a cell relaxed with GGA-PBE; Cu Kα X-rays).
Neutral-atom scattering factors, no anomalous dispersion.

Most intense lines, 10° ≤ 2θ ≤ 90°, by angle:
Position (°2θ)  intensity  index
29.6  9.4  1 1 4
31.1  100.0  2 1 3
33.6  16.7  2 0 4
34.9  47.8  3 1 0
38.1  9.2  0 0 6
40.4  8.2  2 2 4
50.2  16.4  4 2 0
52.6  7.8  3 1 6
62.4  8.0  3 3 6
63.8  8.3  3 1 8
64.5  7.9  2 1 9
64.9  19.8  4 4 0

Atomic structure:
```
data_Tb5Tl3
_chemical_formula_sum 'Tb20 Tl12'
_cell_length_a 8.1264
_cell_length_b 8.1264
_cell_length_c 14.1634
_cell_angle_alpha 90.00
_cell_angle_beta 90.00
_cell_angle_gamma 90.00
_space_group_name_H-M_alt 'I 4/m c m'
_space_group_IT_number 140
_space_group_name_Hall '-I 4 2c'
loop_
_atom_site_label
_atom_site_fract_x
_atom_site_fract_y
_atom_site_fract_z
_atom_site_occupancy
Tb1 0.0000 0.0000 0.0000 1
Tb2 0.1597 0.3403 0.1525 1
Tl1 0.0000 0.0000 0.2500 1
Tl2 0.1361 0.3639 0.5000 1
```

***

Entry 8:
Structure and simulated X-ray powder pattern of Tb3Tl7 (a cell relaxed with GGA-PBE; Cu Kα X-rays).
Neutral-atom scattering factors, no anomalous dispersion.

Most intense lines, 10° ≤ 2θ ≤ 90°, by angle:
Position (°2θ)  intensity  index
32.8  100.0  1 5 1
34.8  20.8  0 10 0
39.2  15.5  0 0 2
39.8  14.9  2 0 0
53.4  12.5  0 10 2
53.9  12.2  2 10 0
57.1  10.6  2 0 2
61.1  16.1  1 15 1
67.1  13.1  1 5 3
67.8  12.6  3 5 1
68.7  11.9  2 10 2
88.1  6.1  1 15 3

Atomic structure:
```
data_Tb3Tl7
_chemical_formula_sum 'Tb6 Tl14'
_cell_length_a 4.5278
_cell_length_b 25.7908
_cell_length_c 4.5909
_cell_angle_alpha 90.00
_cell_angle_beta 90.00
_cell_angle_gamma 90.00
_space_group_name_H-M_alt 'C m m m'
_space_group_IT_number 65
_space_group_name_Hall '-C 2 2'
loop_
_atom_site_label
_atom_site_fract_x
_atom_site_fract_y
_atom_site_fract_z
_atom_site_occupancy
Tb1 0.0000 0.0000 0.0000 1
Tb2 0.0000 0.3052 0.5000 1
Tl1 0.0000 0.0985 0.5000 1
Tl2 0.0000 0.2037 0.0000 1
Tl3 0.0000 0.3989 0.0000 1
Tl4 0.0000 0.5000 0.5000 1
```